Record 1
Starting from the GGA-PBE geometry in the Materials Project, the XRD peak list of NiC4N6 was computed for copper Kα.

Structural model:
```
data_NiC4N6
_chemical_formula_sum 'Ni2 C8 N12'
_symmetry_space_group_name_H-M 'P 1'
_symmetry_Int_Tables_number 1
_cell_length_a 6.0492
_cell_length_b 7.0598
_cell_length_c 7.2698
_cell_angle_alpha 90.00
_cell_angle_beta 90.00
_cell_angle_gamma 90.00
loop_
_symmetry_equiv_pos_as_xyz
'x,y,z'
loop_
_atom_site_label
_atom_site_fract_x
_atom_site_fract_y
_atom_site_fract_z
Ni1 0.0000 0.0000 0.0000
Ni2 0.5000 0.5000 0.5000
C1 0.2432 0.3445 0.1555
C2 0.2432 0.3445 0.8445
C3 0.2568 0.8445 0.3445
C4 0.2568 0.8445 0.6555
C5 0.7432 0.1555 0.3445
C6 0.7432 0.1555 0.6555
C7 0.7568 0.6555 0.1555
C8 0.7568 0.6555 0.8445
N1 0.1726 0.2727 0.0000
N2 0.2017 0.9032 0.2007
N3 0.2017 0.9032 0.7993
N4 0.2983 0.4032 0.2993
N5 0.2983 0.4032 0.7007
N6 0.3274 0.7727 0.5000
N7 0.6726 0.2273 0.5000
N8 0.7017 0.5968 0.2993
N9 0.7017 0.5968 0.7007
N10 0.7983 0.0968 0.2007
N11 0.7983 0.0968 0.7993
N12 0.8274 0.7273 0.0000
```

Principal peaks in the range 2θ = 10–80°, sorted by position:
2theta  d [Å]  I_rel
17.51  5.065  59
19.09  4.650  100
19.32  4.594  77
22.90  3.883  26
29.29  3.049  46
31.38  2.850  21
31.83  2.812  22
34.54  2.597  28
38.73  2.325  21
46.79  1.942  18

=====

Record 2
Starting from the GGA-PBE geometry in the Materials Project, the XRD peak list of NiC8N6 was computed for copper Kα.

Structural model:
```
data_NiC8N6
_chemical_formula_sum 'Ni2 C16 N12'
_symmetry_space_group_name_H-M 'P 1'
_symmetry_Int_Tables_number 1
_cell_length_a 6.9032
_cell_length_b 5.4105
_cell_length_c 12.6351
_cell_angle_alpha 90.00
_cell_angle_beta 90.00
_cell_angle_gamma 90.00
loop_
_symmetry_equiv_pos_as_xyz
'x,y,z'
loop_
_atom_site_label
_atom_site_fract_x
_atom_site_fract_y
_atom_site_fract_z
Ni1 0.0000 0.0000 0.0000
Ni2 0.5000 0.0000 0.5000
C1 0.0000 0.3757 0.3624
C2 0.0000 0.4326 0.7136
C3 0.0000 0.5674 0.2864
C4 0.0000 0.6243 0.6376
C5 0.1714 0.2761 0.4024
C6 0.1714 0.7239 0.5976
C7 0.3286 0.2761 0.0976
C8 0.3286 0.7239 0.9024
C9 0.5000 0.3757 0.1376
C10 0.5000 0.4326 0.7864
C11 0.5000 0.5674 0.2136
C12 0.5000 0.6243 0.8624
C13 0.6714 0.2761 0.0976
C14 0.6714 0.7239 0.9024
C15 0.8286 0.2761 0.4024
C16 0.8286 0.7239 0.5976
N1 0.0000 0.2738 0.7765
N2 0.0000 0.7262 0.2235
N3 0.1913 0.1901 0.0578
N4 0.1913 0.8099 0.9422
N5 0.3087 0.1901 0.4422
N6 0.3087 0.8099 0.5578
N7 0.5000 0.2738 0.7235
N8 0.5000 0.7262 0.2765
N9 0.6913 0.1901 0.4422
N10 0.6913 0.8099 0.5578
N11 0.8087 0.1901 0.0578
N12 0.8087 0.8099 0.9422
```

Principal peaks in the range 2θ = 10–80°, sorted by position:
2theta  d [Å]  I_rel
14.02  6.318  45
14.62  6.058  36
21.63  4.109  71
22.03  4.035  100
24.76  3.595  47
26.83  3.323  66
31.55  2.836  13
33.92  2.643  25
41.79  2.162  12
44.92  2.018  20

=====

Record 3
Starting from the GGA-PBE geometry in the Materials Project, the XRD peak list of NiPtC6N6 was computed for copper Kα.

Structural model:
```
data_NiPtC6N6
_chemical_formula_sum 'Ni1 Pt1 C6 N6'
_symmetry_space_group_name_H-M 'P 1'
_symmetry_Int_Tables_number 1
_cell_length_a 7.3848
_cell_length_b 7.3848
_cell_length_c 7.3848
_cell_angle_alpha 60.00
_cell_angle_beta 60.00
_cell_angle_gamma 60.00
loop_
_symmetry_equiv_pos_as_xyz
'x,y,z'
loop_
_atom_site_label
_atom_site_fract_x
_atom_site_fract_y
_atom_site_fract_z
Ni1 0.0000 0.0000 0.0000
Pt1 0.5000 0.5000 0.5000
C1 0.3067 0.3067 0.6933
C2 0.3067 0.6933 0.3067
C3 0.3067 0.6933 0.6933
C4 0.6933 0.3067 0.3067
C5 0.6933 0.3067 0.6933
C6 0.6933 0.6933 0.3067
N1 0.1954 0.1954 0.8046
N2 0.1954 0.8046 0.1954
N3 0.1954 0.8046 0.8046
N4 0.8046 0.1954 0.1954
N5 0.8046 0.1954 0.8046
N6 0.8046 0.8046 0.1954
```

Principal peaks in the range 2θ = 10–80°, sorted by position:
2theta  d [Å]  I_rel
14.69  6.030  24
16.98  5.222  100
24.10  3.692  42
28.34  3.149  17
34.35  2.611  22
38.55  2.335  36
42.40  2.132  14
52.58  1.741  17
55.66  1.651  13
67.06  1.396  12

=====

Record 4
Starting from the GGA-PBE geometry in the Materials Project, the XRD peak list of NiC2S2N6 was computed for copper Kα.

Structural model:
```
data_NiC2S2N6
_chemical_formula_sum 'Ni1 C2 S2 N6'
_symmetry_space_group_name_H-M 'P 1'
_symmetry_Int_Tables_number 1
_cell_length_a 6.7232
_cell_length_b 6.7232
_cell_length_c 5.4774
_cell_angle_alpha 103.62
_cell_angle_beta 103.62
_cell_angle_gamma 72.03
loop_
_symmetry_equiv_pos_as_xyz
'x,y,z'
loop_
_atom_site_label
_atom_site_fract_x
_atom_site_fract_y
_atom_site_fract_z
Ni1 0.0000 0.0000 0.0000
C1 0.2352 0.2352 0.4529
C2 0.7648 0.7648 0.5471
S1 0.3602 0.3602 0.6925
S2 0.6398 0.6398 0.3075
N1 0.0970 0.7515 0.1562
N2 0.1417 0.1417 0.2743
N3 0.2485 0.9030 0.8438
N4 0.7515 0.0970 0.1562
N5 0.8583 0.8583 0.7257
N6 0.9030 0.2485 0.8438
```

Principal peaks in the range 2θ = 10–80°, sorted by position:
2theta  d [Å]  I_rel
14.07  6.295  74
17.04  5.203  17
20.05  4.429  25
20.25  4.385  100
22.49  3.953  66
23.93  3.718  68
28.09  3.176  29
30.44  2.936  94
47.42  1.917  24
50.68  1.801  25